Calculated XRD peak list of AsHIrOsAu for copper Kα, from a crystal structure in Alexandria, relaxed with GGA-PBE.

Structure:
```
AsHIrOsAu
1.0
10.806 0.000 0.000
0.000 2.802 0.000
-0.128 0.000 4.835
As H Ir Os Au
2 2 2 2 2
Direct
0.000 0.000 0.000
0.500 0.500 0.000
0.254 0.000 0.970
0.754 0.500 0.970
0.163 0.000 0.627
0.663 0.500 0.627
0.174 0.500 0.170
0.674 0.000 0.170
0.390 0.500 0.501
0.890 0.000 0.501
```

The 10 most intense peaks (2θ from 5° to 70°), in order of rising 2θ:
d (Å)	I (rel.)	(hkl)
5.401	39.8	2 0 0
4.835	34.6	0 0 1
2.713	48.9	1 1 0
2.701	76.6	4 0 0
2.417	35.3	0 0 2
2.372	92.0	1 1 -1
2.229	43.0	2 0 -2
2.185	39.7	2 0 2
2.024	50.5	3 1 -1
1.999	100.0	3 1 1